Diffraction record for HgBiCl3. The powder diffraction line list is simulated, not measured: it uses a structure optimized by DFT (GGA-PBE) and copper Kα.

Most intense lines, 2θ = 15–90°, sorted by position:
- hkl 1 1 -1, 2θ = 16.36°, I = 32
- hkl 0 0 2, 2θ = 18.16°, I = 100
- hkl 2 0 -2, 2θ = 19.89°, I = 41
- hkl 2 0 0, 2θ = 20.35°, I = 41
- hkl 2 1 -2, 2θ = 23.83°, I = 46
- hkl 2 1 0, 2θ = 24.22°, I = 47
- hkl 1 1 2, 2θ = 28.04°, I = 23
- hkl 2 1 -4, 2θ = 35.12°, I = 40
- hkl 4 1 -2, 2θ = 38.73°, I = 23
- hkl 1 3 -1, 2θ = 41.01°, I = 28

Structure:
```
data_HgBiCl3
_chemical_formula_sum 'Hg4 Bi4 Cl12'
_space_group_name_H-M_alt 'P 1 21/c 1'
_space_group_IT_number 14
_cell_length_a 9.897
_cell_length_b 6.814
_cell_length_c 11.079
_cell_angle_alpha 90.00
_cell_angle_beta 118.13
_cell_angle_gamma 90.00
loop_
_space_group_symop_operation_xyz
'x,y,z'
'-x,-y,-z'
'-x,y+1/2,-z+1/2'
'x,-y+1/2,z+1/2'
loop_
_atom_site_label
_atom_site_fract_x
_atom_site_fract_y
_atom_site_fract_z
_atom_site_occupancy
Hg1 0.024 0.174 0.461 1
Bi1 0.403 0.687 0.483 1
Cl1 0.076 0.006 0.884 1
Cl2 0.336 0.141 0.396 1
Cl3 0.359 0.683 0.232 1
```

Diffraction record for Sm2CdPtO5. The powder diffraction line list is simulated, not measured: it uses a structure optimized by DFT (GGA-PBE) and copper Kα.

Most intense lines, 2θ = 15–90°, sorted by position:
- hkl 1 1 0, 2θ = 18.76°, I = 13
- hkl 2 1 0, 2θ = 29.87°, I = 10
- hkl 0 0 2, 2θ = 30.83°, I = 100
- hkl 2 1 1, 2θ = 33.70°, I = 26
- hkl 2 2 0, 2θ = 38.06°, I = 18
- hkl 2 2 1, 2θ = 41.20°, I = 10
- hkl 2 1 2, 2θ = 43.43°, I = 19
- hkl 3 1 1, 2θ = 45.65°, I = 13
- hkl 2 2 2, 2θ = 49.72°, I = 16
- hkl 2 0 3, 2θ = 54.78°, I = 15

Structure:
```
data_Sm2CdPtO5
_chemical_formula_sum 'Sm4 Cd2 Pt2 O10'
_space_group_name_H-M_alt 'P 4/m b m'
_space_group_IT_number 127
_space_group_name_Hall '-P 4 2ab'
_cell_length_a 6.688
_cell_length_b 6.688
_cell_length_c 5.809
_cell_angle_alpha 90.00
_cell_angle_beta 90.00
_cell_angle_gamma 90.00
loop_
_atom_site_label
_atom_site_fract_x
_atom_site_fract_y
_atom_site_fract_z
_atom_site_occupancy
Sm1 0.173 0.327 0.000 1
Cd1 0.000 0.000 0.500 1
Pt1 0.000 0.500 0.500 1
O1 0.000 0.000 0.000 1
O2 0.142 0.642 0.245 1
```

Diffraction record for Lu5Mg. The powder diffraction line list is simulated, not measured: it uses a structure optimized by DFT (GGA-PBE) and copper Kα.

Most intense lines, 2θ = 15–90°, sorted by position:
- hkl 1 3 1, 2θ = 32.00°, I = 100
- hkl 0 6 0, 2θ = 36.99°, I = 17
- hkl 2 0 0, 2θ = 37.18°, I = 34
- hkl 2 6 0, 2θ = 53.46°, I = 24
- hkl 2 0 2, 2θ = 53.60°, I = 12
- hkl 1 9 1, 2θ = 63.55°, I = 14
- hkl 3 3 1, 2θ = 63.81°, I = 28
- hkl 2 6 2, 2θ = 66.91°, I = 12
- hkl 3 9 1, 2θ = 87.77°, I = 12
- hkl 3 3 3, 2θ = 88.01°, I = 6

Structure:
```
data_Lu5Mg
_chemical_formula_sum 'Lu10 Mg2'
_space_group_name_H-M_alt 'C m m m'
_space_group_IT_number 65
_space_group_name_Hall '-C 2 2'
_cell_length_a 4.836
_cell_length_b 14.580
_cell_length_c 4.836
_cell_angle_alpha 90.00
_cell_angle_beta 90.00
_cell_angle_gamma 90.00
loop_
_atom_site_label
_atom_site_fract_x
_atom_site_fract_y
_atom_site_fract_z
_atom_site_occupancy
Lu1 0.000 0.000 0.000 1
Lu2 0.000 0.166 0.500 1
Lu3 0.000 0.331 0.000 1
Mg1 0.000 0.500 0.500 1
```

Diffraction record for Cu3PbF8. The powder diffraction line list is simulated, not measured: it uses a structure optimized by DFT (GGA-PBE) and copper Kα.

Most intense lines, 2θ = 15–90°, sorted by position:
- hkl 1 0 0, 2θ = 19.25°, I = 76
- hkl 1 0 1, 2θ = 23.11°, I = 68
- hkl 0 1 2, 2θ = 32.15°, I = 100
- hkl 1 1 0, 2θ = 33.66°, I = 74
- hkl 2 -1 1, 2θ = 36.10°, I = 28
- hkl 1 1 2, 2θ = 42.71°, I = 26
- hkl 2 0 2, 2θ = 47.24°, I = 42
- hkl 1 2 2, 2θ = 59.25°, I = 41
- hkl 3 0 0, 2θ = 60.20°, I = 23
- hkl 2 -1 4, 2θ = 63.74°, I = 25

Structure:
```
data_Cu3PbF8
_chemical_formula_sum 'Cu3 Pb1 F8'
_space_group_name_H-M_alt 'P -3'
_space_group_IT_number 147
_cell_length_a 5.3250
_cell_length_b 5.3250
_cell_length_c 6.9839
_cell_angle_alpha 90.00
_cell_angle_beta 90.00
_cell_angle_gamma 120.00
loop_
_space_group_symop_operation_xyz
'x,y,z'
'-x,-y,-z'
'-y,x-y,z'
'y,-x+y,-z'
'-x+y,-x,z'
'x-y,x,-z'
loop_
_atom_site_label
_atom_site_fract_x
_atom_site_fract_y
_atom_site_fract_z
_atom_site_occupancy
Cu1 0.0000 0.0000 0.0000 1
Cu2 0.3333 0.6667 0.2166 1
Pb1 0.0000 0.0000 0.5000 1
F1 0.0071 0.2926 0.8213 1
F2 0.3333 0.6667 0.4859 1
```

Diffraction record for NpBi6O12. The powder diffraction line list is simulated, not measured: it uses a structure optimized by DFT (GGA-PBE) and copper Kα.

Most intense lines, 2θ = 15–90°, sorted by position:
- hkl 2 1 1, 2θ = 27.42°, I = 100
- hkl 0 0 3, 2θ = 27.75°, I = 30
- hkl 3 -2 2, 2θ = 31.86°, I = 53
- hkl 1 4 0, 2θ = 45.47°, I = 30
- hkl 2 1 4, 2θ = 45.89°, I = 27
- hkl 6 -4 1, 2θ = 53.91°, I = 15
- hkl 1 4 3, 2θ = 54.10°, I = 31
- hkl 3 -2 5, 2θ = 54.48°, I = 14
- hkl 4 2 2, 2θ = 56.59°, I = 13
- hkl 7 0 1, 2θ = 73.12°, I = 13

Structure:
```
data_NpBi6O12
_chemical_formula_sum 'Np3 Bi18 O36'
_space_group_name_H-M_alt 'R -3'
_space_group_IT_number 148
_space_group_name_Hall '-R 3'
_cell_length_a 10.5561
_cell_length_b 10.5561
_cell_length_c 9.6454
_cell_angle_alpha 90.00
_cell_angle_beta 90.00
_cell_angle_gamma 120.00
loop_
_atom_site_label
_atom_site_fract_x
_atom_site_fract_y
_atom_site_fract_z
_atom_site_occupancy
Np1 0.0000 0.0000 0.0000 1
Bi1 0.0416 0.2403 0.6525 1
O1 0.0330 0.1781 0.8799 1
O2 0.0368 0.2045 0.3899 1
```

Diffraction record for NaAcH6Pd2. The powder diffraction line list is simulated, not measured: it uses a structure optimized by DFT (GGA-PBE) and copper Kα.

Most intense lines, 2θ = 15–90°, sorted by position:
- hkl 1 0 1, 2θ = 21.63°, I = 100
- hkl 1 0 4, 2θ = 30.27°, I = 96
- hkl 0 1 5, 2θ = 34.51°, I = 84
- hkl 1 1 0, 2θ = 36.68°, I = 92
- hkl 0 2 4, 2θ = 48.27°, I = 26
- hkl 0 0 9, 2θ = 49.93°, I = 28
- hkl 2 0 5, 2θ = 51.24°, I = 27
- hkl 2 1 4, 2θ = 62.12°, I = 25
- hkl 1 1 9, 2θ = 63.53°, I = 24
- hkl 1 2 5, 2θ = 64.66°, I = 27

Structure:
```
data_NaAcH6Pd2
_chemical_formula_sum 'Na3 Ac3 H18 Pd6'
_space_group_name_H-M_alt 'R -3 m'
_space_group_IT_number 166
_space_group_name_Hall '-R 3 2"'
_cell_length_a 4.8999
_cell_length_b 4.8999
_cell_length_c 16.4408
_cell_angle_alpha 90.00
_cell_angle_beta 90.00
_cell_angle_gamma 120.00
loop_
_atom_site_label
_atom_site_fract_x
_atom_site_fract_y
_atom_site_fract_z
_atom_site_occupancy
Na1 0.0000 0.0000 0.0000 1
Ac1 0.0000 0.0000 0.5000 1
H1 0.0062 0.5031 0.4344 1
Pd1 0.0000 0.0000 0.2896 1
```

Repeat the fourth record exactly.
Diffraction record for Cu3PbF8. The powder diffraction line list is simulated, not measured: it uses a structure optimized by DFT (GGA-PBE) and copper Kα.

Most intense lines, 2θ = 15–90°, sorted by position:
- hkl 1 0 0, 2θ = 19.25°, I = 76
- hkl 1 0 1, 2θ = 23.11°, I = 68
- hkl 0 1 2, 2θ = 32.15°, I = 100
- hkl 1 1 0, 2θ = 33.66°, I = 74
- hkl 2 -1 1, 2θ = 36.10°, I = 28
- hkl 1 1 2, 2θ = 42.71°, I = 26
- hkl 2 0 2, 2θ = 47.24°, I = 42
- hkl 1 2 2, 2θ = 59.25°, I = 41
- hkl 3 0 0, 2θ = 60.20°, I = 23
- hkl 2 -1 4, 2θ = 63.74°, I = 25

Structure:
```
data_Cu3PbF8
_chemical_formula_sum 'Cu3 Pb1 F8'
_space_group_name_H-M_alt 'P -3'
_space_group_IT_number 147
_cell_length_a 5.3250
_cell_length_b 5.3250
_cell_length_c 6.9839
_cell_angle_alpha 90.00
_cell_angle_beta 90.00
_cell_angle_gamma 120.00
loop_
_space_group_symop_operation_xyz
'x,y,z'
'-x,-y,-z'
'-y,x-y,z'
'y,-x+y,-z'
'-x+y,-x,z'
'x-y,x,-z'
loop_
_atom_site_label
_atom_site_fract_x
_atom_site_fract_y
_atom_site_fract_z
_atom_site_occupancy
Cu1 0.0000 0.0000 0.0000 1
Cu2 0.3333 0.6667 0.2166 1
Pb1 0.0000 0.0000 0.5000 1
F1 0.0071 0.2926 0.8213 1
F2 0.3333 0.6667 0.4859 1
```

Repeat the second record exactly.
Diffraction record for Sm2CdPtO5. The powder diffraction line list is simulated, not measured: it uses a structure optimized by DFT (GGA-PBE) and copper Kα.

Most intense lines, 2θ = 15–90°, sorted by position:
- hkl 1 1 0, 2θ = 18.76°, I = 13
- hkl 2 1 0, 2θ = 29.87°, I = 10
- hkl 0 0 2, 2θ = 30.83°, I = 100
- hkl 2 1 1, 2θ = 33.70°, I = 26
- hkl 2 2 0, 2θ = 38.06°, I = 18
- hkl 2 2 1, 2θ = 41.20°, I = 10
- hkl 2 1 2, 2θ = 43.43°, I = 19
- hkl 3 1 1, 2θ = 45.65°, I = 13
- hkl 2 2 2, 2θ = 49.72°, I = 16
- hkl 2 0 3, 2θ = 54.78°, I = 15

Structure:
```
data_Sm2CdPtO5
_chemical_formula_sum 'Sm4 Cd2 Pt2 O10'
_space_group_name_H-M_alt 'P 4/m b m'
_space_group_IT_number 127
_space_group_name_Hall '-P 4 2ab'
_cell_length_a 6.688
_cell_length_b 6.688
_cell_length_c 5.809
_cell_angle_alpha 90.00
_cell_angle_beta 90.00
_cell_angle_gamma 90.00
loop_
_atom_site_label
_atom_site_fract_x
_atom_site_fract_y
_atom_site_fract_z
_atom_site_occupancy
Sm1 0.173 0.327 0.000 1
Cd1 0.000 0.000 0.500 1
Pt1 0.000 0.500 0.500 1
O1 0.000 0.000 0.000 1
O2 0.142 0.642 0.245 1
```